This entry pairs a crystal structure of MgBePb2 with its simulated PXRD pattern. Radiation: Cu Kα, 1.54184 Å. Structure: the PBE geometry in Alexandria.
Lines closer than 0.1° are merged.

Structure:
```
MgBePb2
1.0
3.550 0.000 0.000
0.000 4.124 0.000
-1.678 0.000 6.530
Mg Be Pb
1 1 2
direct
0.000 0.000 0.000
0.500 0.000 0.500
0.340 0.500 0.726
0.660 0.500 0.274
```

Largest 10 diffraction maxima, low angle first, 5° ≤ 2θ ≤ 70°:
2θ/deg, I (rel.), (hkl)
21.5, 100, 0 1 0
26.1, 34, 1 0 -1
27.3, 52, 0 0 2
32.3, 44, 1 0 1
32.8, 28, 1 0 -2
33.9, 27, 1 1 0
34.1, 54, 1 1 -1
35.1, 77, 0 1 2
39.2, 37, 1 1 1
39.6, 26, 1 1 -2